Calculated powder XRD pattern
Compound: AcPm2Zr
Radiation: Cu Kα, 1.54184 Å
Structure: the PBE geometry in Alexandria

Structure:
```
data_AcPm2Zr
_cell_length_a 5.050
_cell_length_b 5.050
_cell_length_c 5.142
_cell_angle_alpha 90.00
_cell_angle_beta 90.00
_cell_angle_gamma 90.00
_symmetry_space_group_name_H-M 'P 4/m m m'
_symmetry_Int_Tables_number 123
_symmetry_space_group_name_Hall '-P 4 2'
loop_
_atom_site_label
_atom_site_type_symbol
_atom_site_fract_x
_atom_site_fract_y
_atom_site_fract_z
_atom_site_occupancy
Ac1 Ac 0.000 0.000 0.000 1
Pm1 Pm 0.000 0.500 0.500 1
Zr1 Zr 0.500 0.500 0.000 1
```

Largest 10 diffraction maxima, by intensity, 10 to 90 degrees two-theta:
| 2θ (°) | intensity | h k l |
| --- | --- | --- |
| 30.48 | 100 | 1 1 1 |
| 35.56 | 33 | 2 0 0 |
| 60.73 | 28 | 3 1 1 |
| 50.68 | 24 | 2 0 2 |
| 34.90 | 17 | 0 0 2 |
| 59.86 | 15 | 1 1 3 |
| 63.43 | 12 | 2 2 2 |
| 82.57 | 12 | 3 1 3 |
| 51.16 | 12 | 2 2 0 |
| 17.56 | 8 | 1 0 0 |